[1]
For PmPtPb4, a GGA-PBE-relaxed structure gives the simulated PXRD pattern in this record (Cu Ka).

Top 12 peaks for 5 to 70 degrees two-theta, most intense first:
| 2theta | I/Imax |
| --- | --- |
| 37.28 | 100 |
| 27.19 | 94 |
| 40.32 | 67 |
| 69.28 | 28 |
| 56.08 | 26 |
| 46.75 | 22 |
| 31.91 | 21 |
| 61.26 | 20 |
| 21.53 | 20 |
| 67.23 | 18 |
| 34.57 | 15 |
| 65.51 | 13 |

Cell and atoms:
a b c (Å): 4.8238 4.8238 26.4835
angles (deg): 90.00 90.00 120.00
Space group R-3m (No. 166, hexagonal axes)
Symmetry-distinct sites (fractional):
Pm 0.0000 0.0000 0.0000 (multiplicity 3)
Pt 0.0000 0.0000 0.5000 (multiplicity 3)
Pb 0.0000 0.0000 0.2096 (multiplicity 6)
Pb 0.0000 0.0000 0.3934 (multiplicity 6)


[2]
For Y2HoTl3AgIr2, a GGA-PBE-relaxed structure gives the simulated PXRD pattern in this record (Cu Ka).

Top 12 peaks for 5 to 70 degrees two-theta, most intense first:
| 2theta | I/Imax |
| --- | --- |
| 32.79 | 100 |
| 35.38 | 54 |
| 39.69 | 38 |
| 34.96 | 33 |
| 35.48 | 32 |
| 42.49 | 28 |
| 64.67 | 26 |
| 47.85 | 25 |
| 39.90 | 22 |
| 23.40 | 21 |
| 34.80 | 21 |
| 63.86 | 19 |

Cell and atoms:
a b c (Å): 3.8019 13.5564 7.8788
angles (deg): 90.00 90.00 90.00
Space group Amm2 (No. 38)
Symmetry-distinct sites (fractional):
Y 0.0000 0.2057 0.0000 (multiplicity 4)
Ho 0.0000 0.0000 0.6190 (multiplicity 2)
Tl 0.5000 0.0000 0.9357 (multiplicity 2)
Tl 0.5000 0.1361 0.3409 (multiplicity 4)
Ag 0.0000 0.0000 0.2070 (multiplicity 2)
Ir 0.5000 0.1645 0.7041 (multiplicity 4)


[3]
For Tb2GdN3, a GGA-PBE-relaxed structure gives the simulated PXRD pattern in this record (Cu Ka).

Top 5 peaks for 5 to 70 degrees two-theta, most intense first:
| 2theta | I/Imax |
| --- | --- |
| 31.38 | 100 |
| 36.40 | 72 |
| 52.42 | 49 |
| 62.38 | 45 |
| 65.49 | 17 |

Cell and atoms:
a b c (Å): 3.4900 3.4900 8.5555
angles (deg): 90.00 90.00 120.00
Space group P-3m1 (No. 164)
Symmetry-distinct sites (fractional):
Tb 0.3333 0.6667 0.3335 (multiplicity 2)
Gd 0.0000 0.0000 0.0000 (multiplicity 1)
N 0.0000 0.0000 0.5000 (multiplicity 1)
N 0.3333 0.6667 0.8330 (multiplicity 2)


[4]
For Sc2FeBi, a GGA-PBE-relaxed structure gives the simulated PXRD pattern in this record (Cu Ka).

Top 9 peaks for 5 to 70 degrees two-theta, most intense first:
| 2theta | I/Imax |
| --- | --- |
| 37.84 | 100 |
| 22.91 | 48 |
| 68.34 | 34 |
| 44.70 | 27 |
| 26.51 | 21 |
| 54.59 | 17 |
| 59.96 | 12 |
| 61.69 | 9 |
| 46.80 | 7 |

Cell and atoms:
a b c (Å): 6.7244 6.7244 6.7244
angles (deg): 90.00 90.00 90.00
Space group F-43m (No. 216)
Symmetry-distinct sites (fractional):
Sc 0.0000 0.0000 0.0000 (multiplicity 4)
Sc 0.2500 0.2500 0.2500 (multiplicity 4)
Fe 0.2500 0.2500 0.7500 (multiplicity 4)
Bi 0.0000 0.0000 0.5000 (multiplicity 4)


[5]
For DySnTe3Au, a GGA-PBE-relaxed structure gives the simulated PXRD pattern in this record (Cu Ka).

Top 12 peaks for 5 to 70 degrees two-theta, most intense first:
| 2theta | I/Imax |
| --- | --- |
| 10.02 | 100 |
| 28.53 | 76 |
| 34.77 | 69 |
| 41.68 | 60 |
| 40.68 | 57 |
| 33.22 | 53 |
| 28.13 | 51 |
| 25.71 | 45 |
| 27.43 | 37 |
| 34.52 | 34 |
| 33.64 | 34 |
| 43.48 | 31 |

Cell and atoms:
a b c (Å): 10.4113 4.4358 16.6547
angles (deg): 90.00 90.00 90.00
Space group Pnma (No. 62)
Symmetry-distinct sites (fractional):
Dy 0.1937 0.2500 0.0342 (multiplicity 4)
Sn 0.1708 0.7500 0.2818 (multiplicity 4)
Te 0.0257 0.7500 0.1220 (multiplicity 4)
Te 0.1371 0.2500 0.4658 (multiplicity 4)
Te 0.1781 0.7500 0.7029 (multiplicity 4)
Au 0.1225 0.7500 0.9051 (multiplicity 4)


[6]
For La2Nd2Se3O4, a GGA-PBE-relaxed structure gives the simulated PXRD pattern in this record (Cu Ka).

Top 12 peaks for 5 to 70 degrees two-theta, most intense first:
| 2theta | I/Imax |
| --- | --- |
| 30.08 | 100 |
| 31.30 | 54 |
| 25.06 | 53 |
| 34.65 | 38 |
| 46.54 | 23 |
| 44.66 | 20 |
| 57.73 | 17 |
| 53.14 | 16 |
| 51.89 | 15 |
| 58.58 | 14 |
| 41.40 | 14 |
| 42.75 | 12 |

Cell and atoms:
a b c (Å): 8.4625 4.0583 13.0853
angles (deg): 90.00 90.00 90.00
Space group Amm2 (No. 38)
Symmetry-distinct sites (fractional):
La 0.0000 0.0000 0.0000 (multiplicity 2)
La 0.5000 0.0000 0.0177 (multiplicity 2)
Nd 0.2631 0.0000 0.3326 (multiplicity 4)
Se 0.1505 0.0000 0.6628 (multiplicity 4)
Se 0.5000 0.0000 0.7077 (multiplicity 2)
O 0.0000 0.0000 0.4002 (multiplicity 2)
O 0.2559 0.0000 0.9270 (multiplicity 4)
O 0.5000 0.0000 0.4294 (multiplicity 2)


[7]
For TbB2C, a GGA-PBE-relaxed structure gives the simulated PXRD pattern in this record (Cu Ka).

Top 12 peaks for 5 to 70 degrees two-theta, most intense first:
| 2theta | I/Imax |
| --- | --- |
| 38.02 | 100 |
| 35.56 | 79 |
| 29.36 | 77 |
| 26.20 | 68 |
| 23.62 | 60 |
| 55.74 | 53 |
| 61.34 | 41 |
| 57.52 | 37 |
| 48.30 | 23 |
| 44.70 | 23 |
| 63.00 | 14 |
| 37.39 | 14 |

Cell and atoms:
a b c (Å): 6.8030 6.8030 7.5346
angles (deg): 90.00 90.00 90.00
Space group P4_2/mbc (No. 135)
Symmetry-distinct sites (fractional):
Tb 0.1900 0.3100 0.2500 (multiplicity 8)
B 0.0348 0.8486 0.0000 (multiplicity 8)
B 0.0952 0.5971 0.0000 (multiplicity 8)
C 0.0408 0.8228 0.5000 (multiplicity 8)


[8]
For AgAsH6Pt, a GGA-PBE-relaxed structure gives the simulated PXRD pattern in this record (Cu Ka).

Top 7 peaks for 5 to 70 degrees two-theta, most intense first:
| 2theta | I/Imax |
| --- | --- |
| 36.31 | 100 |
| 22.00 | 63 |
| 65.33 | 36 |
| 42.87 | 33 |
| 52.30 | 18 |
| 57.40 | 14 |
| 69.85 | 11 |

Cell and atoms:
a b c (Å): 6.9971 6.9971 6.9971
angles (deg): 90.00 90.00 90.00
Space group F-43m (No. 216)
Symmetry-distinct sites (fractional):
Ag 0.0000 0.0000 0.0000 (multiplicity 4)
As 0.0000 0.0000 0.5000 (multiplicity 4)
H 0.0061 0.2500 0.7500 (multiplicity 24)
Pt 0.2500 0.2500 0.7500 (multiplicity 4)


[9]
For Ba2CuSiGe2, a GGA-PBE-relaxed structure gives the simulated PXRD pattern in this record (Cu Ka).

Top 12 peaks for 5 to 70 degrees two-theta, most intense first:
| 2theta | I/Imax |
| --- | --- |
| 30.01 | 100 |
| 56.62 | 28 |
| 42.22 | 23 |
| 52.64 | 20 |
| 35.97 | 18 |
| 61.01 | 13 |
| 42.16 | 12 |
| 69.64 | 11 |
| 23.99 | 11 |
| 69.71 | 6 |
| 43.70 | 4 |
| 22.60 | 2 |

Cell and atoms:
a b c (Å): 8.5733 9.9878 14.8240
angles (deg): 90.00 90.00 90.00
Space group Fmmm (No. 69)
Symmetry-distinct sites (fractional):
Ba 0.0000 0.2441 0.0000 (multiplicity 8)
Ba 0.2500 0.2500 0.2500 (multiplicity 8)
Cu 0.0000 0.0000 0.3303 (multiplicity 8)
Si 0.0000 0.0000 0.1685 (multiplicity 8)
Ge 0.2479 0.0000 0.4141 (multiplicity 16)


[10]
For Sr2PrTe3, a GGA-PBE-relaxed structure gives the simulated PXRD pattern in this record (Cu Ka).

Top 12 peaks for 5 to 70 degrees two-theta, most intense first:
| 2theta | I/Imax |
| --- | --- |
| 27.08 | 100 |
| 38.40 | 39 |
| 38.93 | 38 |
| 48.06 | 21 |
| 62.76 | 18 |
| 63.49 | 18 |
| 55.83 | 13 |
| 47.18 | 7 |
| 69.11 | 7 |
| 7.65 | 5 |
| 23.50 | 1 |
| 15.33 | 1 |

Cell and atoms:
a b c (Å): 4.6273 4.6273 11.5589
angles (deg): 90.00 90.00 120.00
Space group P-3m1 (No. 164)
Symmetry-distinct sites (fractional):
Sr 0.3333 0.6667 0.1697 (multiplicity 2)
Pr 0.0000 0.0000 0.5000 (multiplicity 1)
Te 0.0000 0.0000 0.0000 (multiplicity 1)
Te 0.3333 0.6667 0.6601 (multiplicity 2)


[11]
For AuClO6, a GGA-PBE-relaxed structure gives the simulated PXRD pattern in this record (Cu Ka).

Top 10 peaks for 5 to 70 degrees two-theta, most intense first:
| 2theta | I/Imax |
| --- | --- |
| 21.25 | 100 |
| 41.36 | 68 |
| 24.59 | 60 |
| 35.05 | 52 |
| 55.30 | 33 |
| 56.87 | 23 |
| 50.41 | 22 |
| 62.88 | 19 |
| 67.18 | 19 |
| 43.29 | 3 |

Cell and atoms:
a b c (Å): 7.2406 7.2406 7.2406
angles (deg): 90.00 90.00 90.00
Space group F-43m (No. 216)
Symmetry-distinct sites (fractional):
Au 0.0000 0.0000 0.0000 (multiplicity 4)
Cl 0.2500 0.2500 0.2500 (multiplicity 4)
O 0.0000 0.0000 0.2727 (multiplicity 24)


[12]
For LuSiHO4, a GGA-PBE-relaxed structure gives the simulated PXRD pattern in this record (Cu Ka).

Top 12 peaks for 5 to 70 degrees two-theta, most intense first:
| 2theta | I/Imax |
| --- | --- |
| 19.27 | 100 |
| 25.79 | 97 |
| 26.74 | 95 |
| 33.94 | 79 |
| 35.09 | 70 |
| 19.58 | 69 |
| 51.16 | 31 |
| 50.07 | 26 |
| 46.11 | 26 |
| 31.96 | 25 |
| 53.64 | 25 |
| 35.29 | 25 |

Cell and atoms:
a b c (Å): 6.9522 6.1814 6.7083
angles (deg): 90.00 96.34 90.00
Space group P2_1/c (No. 14)
Symmetry-distinct sites (fractional):
Lu 0.2215 0.1388 0.4952 (multiplicity 4)
Si 0.2485 0.6220 0.4871 (multiplicity 4)
H 0.4064 0.6299 0.8369 (multiplicity 4)
O 0.0759 0.7025 0.9830 (multiplicity 4)
O 0.2388 0.0577 0.8108 (multiplicity 4)
O 0.2795 0.0249 0.1894 (multiplicity 4)
O 0.4399 0.7080 0.9711 (multiplicity 4)


[13]
For LaNdCo2Bi4, a GGA-PBE-relaxed structure gives the simulated PXRD pattern in this record (Cu Ka).

Top 12 peaks for 5 to 70 degrees two-theta, most intense first:
| 2theta | I/Imax |
| --- | --- |
| 33.20 | 100 |
| 29.10 | 61 |
| 39.45 | 61 |
| 27.24 | 30 |
| 48.60 | 26 |
| 67.59 | 26 |
| 33.68 | 25 |
| 26.65 | 24 |
| 46.46 | 23 |
| 57.01 | 21 |
| 50.59 | 15 |
| 52.82 | 14 |

Cell and atoms:
a b c (Å): 4.5688 4.5688 9.8201
angles (deg): 90.00 90.00 90.00
Space group P4mm (No. 99)
Symmetry-distinct sites (fractional):
La 0.0000 0.0000 0.0000 (multiplicity 1)
Nd 0.5000 0.5000 0.5433 (multiplicity 1)
Co 0.0000 0.5000 0.7690 (multiplicity 2)
Bi 0.0000 0.0000 0.6281 (multiplicity 1)
Bi 0.0000 0.5000 0.2752 (multiplicity 2)
Bi 0.5000 0.5000 0.9088 (multiplicity 1)